Record 1
Diffraction record for PmNd4Th2. The X-ray powder pattern is simulated, not measured: it uses a DFT-relaxed cell (GGA-PBE, Alexandria) and Cu Kα (weighted mean of Kα1 and Kα2).

Most intense lines, 10 to 90 degrees two-theta, in order of falling intensity:
d (Å), 2θ (°), I/Imax
2.822, 31.71, 100
2.763, 32.40, 100
2.969, 30.10, 66
1.556, 59.39, 61
1.827, 49.91, 50
3.068, 29.11, 43
2.457, 36.58, 26
1.659, 55.38, 23
1.152, 84.00, 22
1.697, 54.02, 21
3.161, 28.23, 20
3.102, 28.78, 18

Structure:
a = 20.8888 Å, b = 20.8888 Å, c = 20.8888 Å
α = 10.04°, β = 10.04°, γ = 10.04°
Fractional coordinates of all 7 atoms:
Pm: 0.0000 0.0000 0.0000
Nd: 0.0962 0.0962 0.0962
Nd: 0.3809 0.3809 0.3809
Nd: 0.6191 0.6191 0.6191
Nd: 0.9038 0.9038 0.9038
Th: 0.1895 0.1895 0.1895
Th: 0.8105 0.8105 0.8105

Record 2
Diffraction record for U5Re3C8. The X-ray powder pattern is simulated, not measured: it uses a DFT-relaxed cell (GGA-PBE, Alexandria) and Cu Kα (weighted mean of Kα1 and Kα2).

Most intense lines, 10 to 90 degrees two-theta, in order of falling intensity:
d (Å), 2θ (°), I/Imax
2.528, 35.52, 100
2.847, 31.42, 41
2.762, 32.42, 34
1.623, 56.73, 24
1.504, 61.65, 16
2.738, 32.71, 16
2.264, 39.82, 15
1.410, 66.27, 11
2.013, 45.03, 11
1.575, 58.63, 10
1.400, 66.84, 9
1.639, 56.13, 9

Structure:
a = 11.3875 Å, b = 11.3875 Å, c = 3.2471 Å
α = 90.00°, β = 90.00°, γ = 90.00°
Fractional coordinates of all 32 atoms:
U: 0.0000 0.5000 0.0000
U: 0.0420 0.2284 0.5000
U: 0.2284 0.9580 0.5000
U: 0.2716 0.4580 0.5000
U: 0.4580 0.7284 0.5000
U: 0.5000 0.0000 0.0000
U: 0.5420 0.2716 0.5000
U: 0.7284 0.5420 0.5000
U: 0.7716 0.0420 0.5000
U: 0.9580 0.7716 0.5000
Re: 0.0000 0.0000 0.0000
Re: 0.2044 0.7044 0.0000
Re: 0.2956 0.2044 0.0000
Re: 0.5000 0.5000 0.0000
Re: 0.7044 0.7956 0.0000
Re: 0.7956 0.2956 0.0000
C: 0.0978 0.8481 0.0000
C: 0.1173 0.6173 0.5000
C: 0.1519 0.0978 0.0000
C: 0.1535 0.3465 0.0000
C: 0.3465 0.8465 0.0000
C: 0.3481 0.5978 0.0000
C: 0.3827 0.1173 0.5000
C: 0.4022 0.3481 0.0000
C: 0.5978 0.6519 0.0000
C: 0.6173 0.8827 0.5000
C: 0.6519 0.4022 0.0000
C: 0.6535 0.1535 0.0000
C: 0.8465 0.6535 0.0000
C: 0.8481 0.9022 0.0000
C: 0.8827 0.3827 0.5000
C: 0.9022 0.1519 0.0000

Record 3
Diffraction record for HfTl4Te4. The X-ray powder pattern is simulated, not measured: it uses a DFT-relaxed cell (GGA-PBE, Alexandria) and Cu Kα (weighted mean of Kα1 and Kα2).

Most intense lines, 10 to 90 degrees two-theta, in order of falling intensity:
d (Å), 2θ (°), I/Imax
2.904, 30.79, 100
2.810, 31.84, 67
3.203, 27.85, 43
4.040, 22.00, 36
2.020, 44.86, 29
2.735, 32.74, 21
2.943, 30.37, 21
2.307, 39.04, 18
1.696, 54.09, 18
1.783, 51.23, 17
1.830, 49.83, 16
1.568, 58.92, 10

Structure:
a = 9.8488 Å, b = 9.8488 Å, c = 9.8488 Å
α = 98.05°, β = 98.05°, γ = 98.05°
Fractional coordinates of all 27 atoms:
Hf: 0.0000 0.0000 0.0000
Hf: 0.2521 0.2521 0.2521
Hf: 0.7479 0.7479 0.7479
Tl: 0.0335 0.8644 0.3683
Tl: 0.1356 0.6317 0.9665
Tl: 0.1737 0.4889 0.6189
Tl: 0.3683 0.0335 0.8644
Tl: 0.3811 0.8263 0.5111
Tl: 0.4889 0.6189 0.1737
Tl: 0.5111 0.3811 0.8263
Tl: 0.6189 0.1737 0.4889
Tl: 0.6317 0.9665 0.1356
Tl: 0.8263 0.5111 0.3811
Tl: 0.8644 0.3683 0.0335
Tl: 0.9665 0.1356 0.6317
Te: 0.0489 0.8440 0.7401
Te: 0.1560 0.2599 0.9511
Te: 0.2004 0.5317 0.3021
Te: 0.2599 0.9511 0.1560
Te: 0.3021 0.2004 0.5317
Te: 0.4683 0.6979 0.7996
Te: 0.5317 0.3021 0.2004
Te: 0.6979 0.7996 0.4683
Te: 0.7401 0.0489 0.8440
Te: 0.7996 0.4683 0.6979
Te: 0.8440 0.7401 0.0489
Te: 0.9511 0.1560 0.2599

Record 4
Diffraction record for CeCu2Cl6. The X-ray powder pattern is simulated, not measured: it uses a DFT-relaxed cell (GGA-PBE, Alexandria) and Cu Kα (weighted mean of Kα1 and Kα2).

Most intense lines, 10 to 90 degrees two-theta, in order of falling intensity:
d (Å), 2θ (°), I/Imax
2.984, 29.94, 100
5.541, 15.99, 71
6.762, 13.09, 70
1.920, 47.35, 66
3.321, 26.85, 66
5.009, 17.71, 47
3.807, 23.37, 33
2.589, 34.65, 30
2.321, 38.80, 20
1.741, 52.57, 19
1.269, 74.83, 18
2.043, 44.34, 17

Structure:
a = 7.7764 Å, b = 7.7764 Å, c = 7.7764 Å
α = 50.64°, β = 50.64°, γ = 50.64°
Fractional coordinates of all 9 atoms:
Ce: 0.0000 0.0000 0.0000
Cu: 0.2644 0.2644 0.2644
Cu: 0.4035 0.4035 0.4035
Cl: 0.0866 0.7533 0.3986
Cl: 0.2431 0.5941 0.9272
Cl: 0.3986 0.0866 0.7533
Cl: 0.5941 0.9272 0.2431
Cl: 0.7533 0.3986 0.0866
Cl: 0.9272 0.2431 0.5941